(1)
Theoretical powder XRD pattern
Compound: TiTlSnMo2
Radiation: Cu Kα X-rays
Structure: the GGA-PBE geometry in Alexandria

The 12 most intense peaks (10 to 80 degrees two-theta), most intense first:
2.810 Å, rel. 100
2.367 Å, rel. 45
1.746 Å, rel. 35
2.587 Å, rel. 29
1.438 Å, rel. 26
1.405 Å, rel. 17
1.533 Å, rel. 16
1.674 Å, rel. 15
3.492 Å, rel. 13
3.347 Å, rel. 10
2.047 Å, rel. 6
1.959 Å, rel. 5

Structural model:
```
data_TiTlSnMo2
_symmetry_space_group_name_H-M 'P 1'
_symmetry_Int_Tables_number 1
_cell_length_a 4.734
_cell_length_b 4.734
_cell_length_c 5.174
_cell_angle_alpha 90.00
_cell_angle_beta 90.00
_cell_angle_gamma 90.00
loop_
_symmetry_equiv_pos_as_xyz
'x,y,z'
loop_
_atom_site_label
_atom_site_type_symbol
_atom_site_fract_x
_atom_site_fract_y
_atom_site_fract_z
Ti1 Ti 0.000 0.000 0.000
Tl1 Tl 0.500 0.500 0.500
Sn1 Sn 0.000 0.000 0.500
Mo1 Mo 0.000 0.500 0.000
Mo2 Mo 0.500 0.000 0.000
```

(2)
Theoretical powder XRD pattern
Compound: Cs2BaSiBr6
Radiation: Cu Kα X-rays
Structure: the GGA-PBE geometry in Alexandria

The 12 most intense peaks (10 to 80 degrees two-theta), most intense first:
2.963 Å, rel. 100
3.422 Å, rel. 82
2.095 Å, rel. 71
4.190 Å, rel. 41
1.787 Å, rel. 33
1.325 Å, rel. 29
1.711 Å, rel. 24
1.210 Å, rel. 21
2.419 Å, rel. 17
2.719 Å, rel. 14
1.360 Å, rel. 12
1.584 Å, rel. 12

Structural model:
```
data_Cs2BaSiBr6
_symmetry_space_group_name_H-M 'P 1'
_symmetry_Int_Tables_number 1
_cell_length_a 8.381
_cell_length_b 8.381
_cell_length_c 8.381
_cell_angle_alpha 60.00
_cell_angle_beta 60.00
_cell_angle_gamma 60.00
loop_
_symmetry_equiv_pos_as_xyz
'x,y,z'
loop_
_atom_site_label
_atom_site_type_symbol
_atom_site_fract_x
_atom_site_fract_y
_atom_site_fract_z
Cs1 Cs 0.250 0.250 0.250
Cs2 Cs 0.750 0.750 0.750
Ba1 Ba 0.000 0.000 0.000
Si1 Si 0.500 0.500 0.500
Br1 Br 0.267 0.267 0.733
Br2 Br 0.267 0.733 0.267
Br3 Br 0.267 0.733 0.733
Br4 Br 0.733 0.267 0.267
Br5 Br 0.733 0.267 0.733
Br6 Br 0.733 0.733 0.267
```

(3)
Theoretical powder XRD pattern
Compound: Tb4Cd2Ag
Radiation: Cu Kα X-rays
Structure: the GGA-PBE geometry in Alexandria

The 12 most intense peaks (10 to 80 degrees two-theta), most intense first:
2.605 Å, rel. 100
2.591 Å, rel. 98
1.501 Å, rel. 36
1.837 Å, rel. 35
3.674 Å, rel. 21
1.504 Å, rel. 18
1.493 Å, rel. 17
1.303 Å, rel. 11
1.296 Å, rel. 11
8.439 Å, rel. 5
2.125 Å, rel. 5
4.251 Å, rel. 5

Structural model:
```
data_Tb4Cd2Ag
_symmetry_space_group_name_H-M 'P 1'
_symmetry_Int_Tables_number 1
_cell_length_a 8.959
_cell_length_b 8.959
_cell_length_c 8.959
_cell_angle_alpha 33.81
_cell_angle_beta 33.81
_cell_angle_gamma 33.81
loop_
_symmetry_equiv_pos_as_xyz
'x,y,z'
loop_
_atom_site_label
_atom_site_type_symbol
_atom_site_fract_x
_atom_site_fract_y
_atom_site_fract_z
Tb1 Tb 0.122 0.122 0.122
Tb2 Tb 0.373 0.373 0.373
Tb3 Tb 0.627 0.627 0.627
Tb4 Tb 0.878 0.878 0.878
Cd1 Cd 0.250 0.250 0.250
Cd2 Cd 0.750 0.750 0.750
Ag1 Ag 0.500 0.500 0.500
```

(4)
Theoretical powder XRD pattern
Compound: CaLa4Ce3N8
Radiation: Cu Kα X-rays
Structure: the GGA-PBE geometry in Alexandria

The 12 most intense peaks (10 to 80 degrees two-theta), most intense first:
2.578 Å, rel. 100
2.974 Å, rel. 95
1.554 Å, rel. 43
1.826 Å, rel. 34
1.820 Å, rel. 34
2.988 Å, rel. 32
1.487 Å, rel. 17
1.558 Å, rel. 15
1.289 Å, rel. 10
5.951 Å, rel. 7
1.494 Å, rel. 6
5.157 Å, rel. 4

Structural model:
```
data_CaLa4Ce3N8
_symmetry_space_group_name_H-M 'P 1'
_symmetry_Int_Tables_number 1
_cell_length_a 7.306
_cell_length_b 7.306
_cell_length_c 7.306
_cell_angle_alpha 59.76
_cell_angle_beta 59.76
_cell_angle_gamma 59.76
loop_
_symmetry_equiv_pos_as_xyz
'x,y,z'
loop_
_atom_site_label
_atom_site_type_symbol
_atom_site_fract_x
_atom_site_fract_y
_atom_site_fract_z
Ca1 Ca 0.000 0.000 0.000
La1 La 0.000 0.000 0.500
La2 La 0.000 0.500 0.000
La3 La 0.500 0.000 0.000
La4 La 0.500 0.500 0.500
Ce1 Ce 0.000 0.500 0.500
Ce2 Ce 0.500 0.000 0.500
Ce3 Ce 0.500 0.500 0.000
N1 N 0.251 0.251 0.731
N2 N 0.251 0.731 0.251
N3 N 0.257 0.257 0.257
N4 N 0.269 0.749 0.749
N5 N 0.731 0.251 0.251
N6 N 0.743 0.743 0.743
N7 N 0.749 0.269 0.749
N8 N 0.749 0.749 0.269
```

(5)
Theoretical powder XRD pattern
Compound: BeTl3F4
Radiation: Cu Kα X-rays
Structure: the GGA-PBE geometry in Alexandria

The 12 most intense peaks (10 to 80 degrees two-theta), most intense first:
3.210 Å, rel. 100
2.244 Å, rel. 70
3.162 Å, rel. 55
3.139 Å, rel. 51
1.919 Å, rel. 43
3.964 Å, rel. 36
3.660 Å, rel. 31
2.383 Å, rel. 26
7.320 Å, rel. 21
2.858 Å, rel. 20
1.451 Å, rel. 17
2.887 Å, rel. 17

Structural model:
```
data_BeTl3F4
_symmetry_space_group_name_H-M 'P 1'
_symmetry_Int_Tables_number 1
_cell_length_a 7.145
_cell_length_b 7.320
_cell_length_c 6.277
_cell_angle_alpha 90.00
_cell_angle_beta 90.00
_cell_angle_gamma 90.00
loop_
_symmetry_equiv_pos_as_xyz
'x,y,z'
loop_
_atom_site_label
_atom_site_type_symbol
_atom_site_fract_x
_atom_site_fract_y
_atom_site_fract_z
Be1 Be 0.000 0.124 0.000
Be2 Be 0.500 0.876 0.500
Tl1 Tl 0.000 0.935 0.520
Tl2 Tl 0.237 0.562 0.976
Tl3 Tl 0.263 0.438 0.476
Tl4 Tl 0.500 0.065 0.020
Tl5 Tl 0.737 0.438 0.476
Tl6 Tl 0.763 0.562 0.976
F1 F 0.000 0.208 0.233
F2 F 0.000 0.913 0.008
F3 F 0.177 0.198 0.875
F4 F 0.323 0.802 0.375
F5 F 0.500 0.087 0.508
F6 F 0.500 0.792 0.733
F7 F 0.677 0.802 0.375
F8 F 0.823 0.198 0.875
```

Question: Number 2 is which compound?
Answer: Cs2BaSiBr6